LiSbP2O8: simulated powder XRD pattern (Cu Kα X-rays), based on DFT lattice parameters and positions (PBE).
Peak positions follow from Bragg's law for the DFT cell and can differ from measured ones.

Crystal structure
Unit cell a=4.9078 b=5.8685 c=10.0597 alpha=90.00 beta=91.49 gamma=90.00
Space group P2_1/m (No. 11)
Unique sites:
Li 0.0829 0.2500 0.2207
Sb 0.4546 0.2500 0.7202
P 0.1162 0.7500 0.0958
P 0.4081 0.7500 0.5896
O 0.1323 0.7500 0.9491
O 0.1913 0.2500 0.8648
O 0.2611 0.5383 0.6563
O 0.2779 0.5490 0.1726
O 0.2901 0.2500 0.3940
O 0.3085 0.7500 0.4386

Largest 6 diffraction maxima, by angle, 10 to 90 degrees two-theta:
(0 1 1), 17.50°, 5.069 Å, intensity 100
(0 0 2), 17.64°, 5.028 Å, intensity 31
(1 0 0), 18.08°, 4.906 Å, intensity 43
(1 0 1), 20.35°, 4.365 Å, intensity 33
(1 0 -2), 25.06°, 3.554 Å, intensity 69
(0 2 0), 30.46°, 2.934 Å, intensity 35



Li3Sb2P3O12: simulated powder XRD pattern (Cu Kα X-rays), based on DFT lattice parameters and positions (PBE).
Peak positions follow from Bragg's law for the DFT cell and can differ from measured ones.

Crystal structure
Unit cell a=14.2092 b=9.3869 c=8.4759 alpha=90.00 beta=117.09 gamma=90.00
Space group C2 (No. 5)
Unique sites:
Li 0.0000 0.0000 0.0000
Li 0.0000 0.2705 0.5000
Li 0.1915 0.6989 0.8824
Li 0.2431 0.3889 0.7325
Sb 0.0934 0.3892 0.9088
Sb 0.1000 0.8825 0.4099
P 0.0000 0.5554 0.5000
P 0.0000 0.7232 0.0000
P 0.1654 0.0585 0.8436
P 0.1719 0.2159 0.3438
O 0.0637 0.0248 0.8522
O 0.0639 0.2601 0.3281
O 0.0646 0.6365 0.9292
O 0.0706 0.6411 0.4449
O 0.0774 0.4496 0.6532
O 0.0812 0.8244 0.1479
O 0.1707 0.0068 0.6787
O 0.1835 0.0490 0.3519
O 0.1867 0.2268 0.8596
O 0.1949 0.2620 0.1899
O 0.2407 0.4943 0.9790
O 0.2447 0.7878 0.4780

Largest 6 diffraction maxima, by angle, 10 to 90 degrees two-theta:
(1 1 1), 18.76°, 4.730 Å, intensity 90
(3 1 -1), 21.12°, 4.206 Å, intensity 100
(2 2 -1), 23.34°, 3.812 Å, intensity 56
(1 3 1), 32.97°, 2.717 Å, intensity 86
(4 2 -2), 33.47°, 2.677 Å, intensity 72
(2 2 -4), 47.71°, 1.906 Å, intensity 51